Structure and theoretical powder X-ray diffraction pattern of HoBe2AlPd5 (a crystal structure in Alexandria, relaxed with PBE; copper Kα).
Kinematic intensities with the Lorentz-polarization factor, no thermal factor.

The 8 most intense peaks (2θ = 10–80°), sorted by position:
12.5 deg, intensity 14, hkl 0 0 1; 31.6 deg, intensity 44, hkl 1 1 1; 38.1 deg, intensity 17, hkl 0 0 3; 38.7 deg, intensity 100, hkl 1 1 2; 41.3 deg, intensity 50, hkl 2 0 0; 57.5 deg, intensity 20, hkl 2 0 3; 59.8 deg, intensity 16, hkl 2 2 0; 73.5 deg, intensity 43, hkl 3 1 2

Cell and atoms:
```
data_HoBe2AlPd5
_space_group_name_H-M_alt 'P 4/m m m'
_space_group_IT_number 123
_space_group_name_Hall '-P 4 2'
_cell_length_a 4.3721
_cell_length_b 4.3721
_cell_length_c 7.0815
_cell_angle_alpha 90.00
_cell_angle_beta 90.00
_cell_angle_gamma 90.00
loop_
_atom_site_label
_atom_site_fract_x
_atom_site_fract_y
_atom_site_fract_z
_atom_site_occupancy
Ho1 0.0000 0.0000 0.0000 1
Be1 0.5000 0.5000 0.3396 1
Al1 0.0000 0.0000 0.5000 1
Pd1 0.0000 0.5000 0.2880 1
Pd2 0.5000 0.5000 0.0000 1
```



Structure and theoretical powder X-ray diffraction pattern of CsPmSiTe4 (a crystal structure in Alexandria, relaxed with PBE; copper Kα).
Kinematic intensities with the Lorentz-polarization factor, no thermal factor.

The 8 most intense peaks (2θ = 10–80°), sorted by position:
25.4 deg, intensity 54, hkl 1 0 2; 26.3 deg, intensity 60, hkl 2 0 -2; 26.7 deg, intensity 100, hkl 1 2 0; 28.0 deg, intensity 72, hkl 1 1 2; 28.9 deg, intensity 42, hkl 2 1 -2; 29.5 deg, intensity 64, hkl 0 2 2; 29.8 deg, intensity 69, hkl 1 2 -2; 35.2 deg, intensity 37, hkl 2 2 0

Cell and atoms:
```
data_CsPmSiTe4
_space_group_name_H-M_alt 'P 1 21/m 1'
_space_group_IT_number 11
_cell_length_a 7.2452
_cell_length_b 7.6495
_cell_length_c 10.5152
_cell_angle_alpha 90.00
_cell_angle_beta 109.09
_cell_angle_gamma 90.00
loop_
_space_group_symop_operation_xyz
'x,y,z'
'-x,-y,-z'
'-x,y+1/2,-z'
'x,-y+1/2,z'
loop_
_atom_site_label
_atom_site_fract_x
_atom_site_fract_y
_atom_site_fract_z
_atom_site_occupancy
Cs1 0.2420 0.2500 0.0584 1
Pm1 0.2304 0.2500 0.5495 1
Si1 0.2109 0.7500 0.3326 1
Te1 0.0212 0.5081 0.7047 1
Te2 0.4074 0.7500 0.1755 1
Te3 0.4248 0.7500 0.5750 1
```



Structure and theoretical powder X-ray diffraction pattern of Ir5Rh7 (a crystal structure in Alexandria, relaxed with PBE; copper Kα).
Kinematic intensities with the Lorentz-polarization factor, no thermal factor.

The 8 most intense peaks (2θ = 10–80°), sorted by position:
10.8 deg, intensity 10, hkl 0 2 0; 17.2 deg, intensity 8, hkl 1 1 0; 28.9 deg, intensity 5, hkl 1 1 1; 40.5 deg, intensity 100, hkl 0 6 1; 40.6 deg, intensity 99, hkl 2 0 1; 47.2 deg, intensity 97, hkl 2 6 0; 68.9 deg, intensity 52, hkl 2 6 2; 69.1 deg, intensity 10, hkl 4 0 0

Cell and atoms:
```
data_Ir5Rh7
_space_group_name_H-M_alt 'C m m m'
_space_group_IT_number 65
_space_group_name_Hall '-C 2 2'
_cell_length_a 5.4377
_cell_length_b 16.3720
_cell_length_c 3.8572
_cell_angle_alpha 90.00
_cell_angle_beta 90.00
_cell_angle_gamma 90.00
loop_
_atom_site_label
_atom_site_fract_x
_atom_site_fract_y
_atom_site_fract_z
_atom_site_occupancy
Ir1 0.0000 0.0000 0.0000 1
Ir2 0.0000 0.1662 0.0000 1
Ir3 0.2500 0.2500 0.5000 1
Rh1 0.0000 0.3320 0.0000 1
Rh2 0.0000 0.5000 0.0000 1
Rh3 0.2484 0.0830 0.5000 1
```



Structure and theoretical powder X-ray diffraction pattern of PmDy5Th (a crystal structure in Alexandria, relaxed with PBE; copper Kα).
Kinematic intensities with the Lorentz-polarization factor, no thermal factor.

The 8 most intense peaks (2θ = 10–80°), sorted by position:
13.2 deg, intensity 14, hkl 0 1 1; 31.8 deg, intensity 100, hkl 2 2 2; 32.6 deg, intensity 9, hkl 0 1 3; 32.7 deg, intensity 16, hkl 0 4 0; 34.7 deg, intensity 19, hkl 4 0 0; 48.4 deg, intensity 11, hkl 4 4 0; 55.9 deg, intensity 8, hkl 4 0 4; 60.3 deg, intensity 16, hkl 6 2 2

Cell and atoms:
```
data_PmDy5Th
_space_group_name_H-M_alt 'I m m a'
_space_group_IT_number 74
_space_group_name_Hall '-I 2b 2'
_cell_length_a 10.3488
_cell_length_b 10.9407
_cell_length_c 8.5121
_cell_angle_alpha 90.00
_cell_angle_beta 90.00
_cell_angle_gamma 90.00
loop_
_atom_site_label
_atom_site_fract_x
_atom_site_fract_y
_atom_site_fract_z
_atom_site_occupancy
Pm1 0.0000 0.2500 0.0495 1
Dy1 0.0000 0.0433 0.7547 1
Dy2 0.0000 0.2500 0.4634 1
Dy3 0.2448 0.0000 0.5000 1
Th1 0.2500 0.2500 0.7500 1
```



Question: Number 1 is which compound?
Answer: HoBe2AlPd5



Question: Number 3 is which compound?
Answer: Ir5Rh7